# 1
For TaCo2Te2, a DFT-relaxed cell (PBE, OQMD) gives the computed PXRD pattern in this record (Cu Ka).

Main lines, low angle first (2θ = 15–90°):
2θ/deg, d_spacing, intensity
27.77, 3.213, 93
36.49, 2.462, 100
39.25, 2.295, 94
39.52, 2.280, 77
42.96, 2.105, 54
44.62, 2.031, 84

Atomic structure:
```
40
Lattice="18.1553 0.0000 0.0000 0.0000 6.5599 0.0000 0.0000 0.0000 6.5288" Properties=species:S:1:pos:R:3 pbc="T T T"
Ta 4.0612 1.6400 0.9841
Ta 4.2771 4.9199 0.9849
Ta 4.8006 1.6400 4.2493
Ta 5.0165 4.9199 4.2485
Ta 13.1389 1.6400 2.2803
Ta 13.3548 4.9199 2.2794
Ta 13.8782 1.6400 5.5438
Ta 14.0941 4.9199 5.5447
Co 3.3092 3.5082 2.9701
Co 3.3062 3.5156 5.5262
Co 3.3062 6.3242 5.5262
Co 3.3092 6.3316 2.9701
Co 5.7685 0.2283 6.2345
Co 5.7715 0.2357 2.2618
Co 5.7715 3.0442 2.2618
Co 5.7685 3.0517 6.2345
Co 12.3868 3.5082 0.2942
Co 12.3839 3.5156 4.2670
Co 12.3839 6.3242 4.2670
Co 12.3868 6.3316 0.2942
Co 14.8462 0.2283 3.5586
Co 14.8491 0.2357 1.0026
Co 14.8491 3.0442 1.0026
Co 14.8462 3.0517 3.5586
Te 1.6265 4.9199 4.2388
Te 1.7222 3.2915 0.9835
Te 1.7222 6.5483 0.9835
Te 1.9837 1.6400 4.2603
Te 7.0940 4.9199 0.9959
Te 7.3554 0.0116 4.2479
Te 7.3554 3.2683 4.2479
Te 7.4512 1.6400 0.9745
Te 10.7041 4.9199 5.5543
Te 10.7999 3.2915 2.2809
Te 10.7999 6.5483 2.2809
Te 11.0613 1.6400 5.5328
Te 16.1717 4.9199 2.2684
Te 16.4331 0.0116 5.5452
Te 16.4331 3.2683 5.5452
Te 16.5289 1.6400 2.2899
```

***

# 2
For Ni21B6Sb2, a DFT-relaxed cell (PBE, OQMD) gives the computed PXRD pattern in this record (Cu Ka).

Main lines, low angle first (2θ = 15–90°):
2θ/deg, d_spacing, intensity
37.92, 2.373, 49
41.70, 2.166, 49
44.35, 2.042, 100
48.53, 1.876, 28
50.91, 1.794, 26
76.11, 1.251, 30

Atomic structure:
```
29
Lattice="0.0000 5.3061 5.3061 5.3061 0.0000 5.3061 5.3061 5.3061 0.0000" Properties=species:S:1:pos:R:3 pbc="T T T"
Ni 0.0000 0.0000 0.0000
Ni 1.7823 1.7823 0.0000
Ni 3.5238 3.5238 0.0000
Ni 1.7823 0.0000 1.7823
Ni 5.3061 3.5238 1.7823
Ni 3.5238 0.0000 3.5238
Ni 5.3061 1.7823 3.5238
Ni 6.5316 4.0806 4.0806
Ni 0.0000 1.7823 1.7823
Ni 3.5238 5.3061 1.7823
Ni 3.5238 1.7823 5.3061
Ni 4.0806 4.0806 4.0806
Ni 6.5316 6.5316 4.0806
Ni 6.5316 4.0806 6.5316
Ni 4.0806 6.5316 4.0806
Ni 4.0806 4.0806 6.5316
Ni 6.5316 6.5316 6.5316
Ni 0.0000 3.5238 3.5238
Ni 1.7823 5.3061 3.5238
Ni 1.7823 3.5238 5.3061
Ni 4.0806 6.5316 6.5316
B 5.3061 5.3061 2.8828
B 5.3061 2.8828 5.3061
B 7.7295 5.3061 5.3061
B 2.8828 5.3061 5.3061
B 5.3061 7.7295 5.3061
B 5.3061 5.3061 7.7295
Sb 2.6531 2.6531 2.6531
Sb 7.9592 7.9592 7.9592
```

***

# 3
For YZn, a DFT-relaxed cell (PBE, OQMD) gives the computed PXRD pattern in this record (Cu Ka).

Main lines, low angle first (2θ = 15–90°):
2θ/deg, d_spacing, intensity
33.85, 2.648, 97
35.67, 2.517, 49
35.80, 2.508, 37
36.32, 2.474, 100
38.52, 2.337, 61
53.60, 1.710, 22

Atomic structure:
```
12
Lattice="6.6568 0.0000 0.0000 0.0000 4.6747 0.0000 -2.3538 0.0000 8.7465" Properties=species:S:1:pos:R:3 pbc="T T T"
Y 0.0000 0.0000 0.0000
Y -1.4532 0.0000 5.5048
Y 1.7163 2.3374 2.1473
Y 0.2691 2.3374 7.6574
Y 1.9387 0.0000 5.8854
Y 4.9836 2.3374 1.7778
Zn 0.1067 0.0000 3.0490
Zn 0.1666 2.3374 4.6111
Zn 3.3025 0.0000 0.5451
Zn 3.4234 0.0000 3.1307
Zn 3.4841 2.3374 4.5298
Zn 3.6223 2.3374 7.1122
```

***

# 4
For Be2Ni2AsP3, a DFT-relaxed cell (PBE, OQMD) gives the computed PXRD pattern in this record (Cu Ka).

Main lines, low angle first (2θ = 15–90°):
2θ/deg, d_spacing, intensity
16.95, 5.229, 75
33.24, 2.695, 57
33.94, 2.642, 100
47.68, 1.907, 27
51.65, 1.770, 28
52.48, 1.744, 38

Atomic structure:
```
16
Lattice="10.3632 0.0000 0.0000 0.0000 4.1231 0.0000 -3.9266 0.0000 5.2294" Properties=species:S:1:pos:R:3 pbc="T T T"
Be -0.2663 0.0000 1.8661
Be 1.5213 2.0616 3.3633
Be 4.9153 2.0616 1.8661
Be 6.7028 0.0000 3.3633
Ni -1.9388 2.4083 4.6968
Ni 3.1937 0.3467 0.5326
Ni 3.2428 0.3467 4.6968
Ni 8.3753 2.4083 0.5326
As 0.0000 1.2199 0.0000
As 5.1816 3.2814 0.0000
P -1.9633 3.0800 2.6147
P -0.3874 1.1038 3.7436
P 1.6424 3.1653 1.4858
P 3.2183 1.0184 2.6147
P 4.7941 3.1653 3.7436
P 6.8240 1.1038 1.4858
```